# 1
# Li2Te2O5
Simulated powder diffractogram, a wavelength of 1.5418 Å. Input: the PBE geometry in the Materials Project.
Kinematic intensities with the Lorentz-polarization factor, no thermal factor.

Principal peaks in the range 2θ from 10° to 80°, sorted by position:
d/Å  2θ/deg  Rel. int.
4.464  19.89  99
4.405  20.16  30
3.545  25.12  100
3.472  25.66  74
3.070  29.09  52
2.976  30.03  24
2.860  31.27  29
2.587  34.68  21
1.951  46.54  18
1.903  47.81  18

Atomic structure:
```
Li2Te2O5
1.0
10.608 0.000 0.000
0.000 4.868 0.000
-6.641 0.000 10.346
Li Te O
8 8 20
direct
0.076 0.206 0.491
0.076 0.294 0.991
0.077 0.681 0.825
0.077 0.819 0.325
0.923 0.181 0.675
0.923 0.319 0.175
0.924 0.706 0.009
0.924 0.794 0.509
0.299 0.681 0.649
0.299 0.819 0.149
0.300 0.170 0.875
0.300 0.330 0.375
0.700 0.670 0.625
0.700 0.830 0.125
0.701 0.181 0.851
0.701 0.319 0.351
0.111 0.230 0.344
0.111 0.270 0.844
0.111 0.714 0.005
0.111 0.786 0.505
0.232 0.677 0.288
0.232 0.823 0.788
0.239 0.174 0.170
0.239 0.326 0.670
0.379 0.516 0.545
0.379 0.984 0.045
0.621 0.016 0.955
0.621 0.484 0.455
0.761 0.674 0.330
0.761 0.826 0.830
0.768 0.177 0.212
0.768 0.323 0.712
0.889 0.214 0.495
0.889 0.286 0.995
0.889 0.730 0.156
0.889 0.770 0.656
```



# 2
# Li8TeO6
Simulated powder diffractogram, a wavelength of 1.5418 Å. Input: the PBE geometry in the Materials Project.
Kinematic intensities with the Lorentz-polarization factor, no thermal factor.

Principal peaks in the range 2θ from 10° to 80°, sorted by position:
d/Å  2θ/deg  Rel. int.
5.317  16.67  38
4.646  19.10  100
4.148  21.42  82
3.082  28.97  31
2.666  33.61  25
2.480  36.22  68
2.400  37.47  16
1.930  47.09  51
1.789  51.06  15
1.619  56.88  21

Atomic structure:
```
Li8TeO6
1.0
2.804 1.619 5.317
-2.804 1.619 5.317
0.000 -3.237 5.317
Li Te O
8 1 6
direct
0.010 0.398 0.729
0.153 0.153 0.153
0.271 0.990 0.602
0.398 0.729 0.010
0.602 0.271 0.990
0.729 0.010 0.398
0.847 0.847 0.847
0.990 0.602 0.271
0.500 0.500 0.500
0.106 0.738 0.401
0.262 0.599 0.894
0.401 0.106 0.738
0.599 0.894 0.262
0.738 0.401 0.106
0.894 0.262 0.599
```



# 3
# Li2TeO3
Simulated powder diffractogram, a wavelength of 1.5418 Å. Input: the PBE geometry in the Materials Project.
Kinematic intensities with the Lorentz-polarization factor, no thermal factor.

Principal peaks in the range 2θ from 10° to 80°, sorted by position:
d/Å  2θ/deg  Rel. int.
4.838  18.34  94
4.014  22.14  84
3.744  23.76  100
3.724  23.90  53
2.951  30.29  45
2.604  34.45  22
2.565  34.97  27
2.208  40.87  23
2.029  44.66  24
1.613  57.12  26

Atomic structure:
```
Li2TeO3
1.0
2.576 -4.838 0.000
2.576 4.838 0.000
-0.663 0.000 7.448
Li Te O
4 2 6
direct
0.052 0.365 0.125
0.365 0.052 0.125
0.635 0.948 0.875
0.948 0.635 0.875
0.262 0.262 0.702
0.738 0.738 0.298
0.030 0.328 0.851
0.328 0.030 0.851
0.371 0.371 0.262
0.629 0.629 0.738
0.672 0.970 0.149
0.970 0.672 0.149
```



# 4
# Li4TeO5
Simulated powder diffractogram, a wavelength of 1.5418 Å. Input: the PBE geometry in the Materials Project.
Kinematic intensities with the Lorentz-polarization factor, no thermal factor.

Principal peaks in the range 2θ from 10° to 80°, sorted by position:
d/Å  2θ/deg  Rel. int.
4.883  18.17  100
4.853  18.28  58
4.705  18.86  56
4.046  21.97  41
3.618  24.61  29
3.586  24.83  37
3.458  25.76  32
2.178  41.46  34
2.114  42.77  31
2.077  43.58  30

Atomic structure:
```
Li4TeO5
1.0
5.184 0.000 0.000
-1.081 5.146 0.000
-1.649 -2.758 7.171
Li Te O
8 2 10
direct
0.000 0.000 0.000
0.078 0.199 0.683
0.205 0.385 0.396
0.274 0.608 0.113
0.500 0.000 0.500
0.726 0.392 0.887
0.795 0.615 0.604
0.922 0.801 0.317
0.391 0.790 0.788
0.609 0.210 0.212
0.076 0.610 0.847
0.164 0.819 0.573
0.282 0.009 0.250
0.367 0.168 0.955
0.449 0.442 0.671
0.551 0.558 0.329
0.633 0.832 0.045
0.718 0.991 0.750
0.836 0.181 0.427
0.924 0.390 0.153
```